Sr3AgPd8: calculated powder XRD pattern (a wavelength of 1.5418 Å), based on a crystal structure in Alexandria, relaxed with GGA-PBE.

Principal peaks in the range 2θ = 15–90°, sorted by position:
(hkl)  d/Å  I_rel
0 1 2  4.516  11.5
1 1 0  2.766  22.6
1 1 6  2.359  100.0
0 0 12  2.258  45.8
2 0 8  1.956  7.6
3 0 0  1.597  7.8
3 0 6  1.506  29.2
2 2 0  1.383  27.3
3 1 8  1.237  3.1
0 4 2  1.193  8.0
2 2 12  1.180  12.7
2 0 20  1.178  3.7

a b c (Å): 5.5343 5.5343 27.0654
angles (deg): 90.00 90.00 120.00
Space group R3m (No. 160, hexagonal axes)
Inequivalent atoms, fractional coordinates:
Sr1 0.0000 0.0000 0.0000 x3
Sr2 0.0000 0.0000 0.1290 x3
Sr3 0.0000 0.0000 0.6156 x3
Ag1 0.0000 0.0000 0.4931 x3
Pd1 0.0000 0.0000 0.3115 x3
Pd2 0.0000 0.0000 0.8119 x3
Pd3 0.0001 0.5000 0.5606 x9
Pd4 0.0007 0.5004 0.0627 x9


Sr4AgPd2: calculated powder XRD pattern (a wavelength of 1.5418 Å), based on a crystal structure in Alexandria, relaxed with GGA-PBE.

Principal peaks in the range 2θ = 15–90°, sorted by position:
(hkl)  d/Å  I_rel
2 0 0  5.863  19.4
0 2 2  3.028  100.0
4 0 0  2.931  27.2
2 0 2  2.872  14.2
4 0 -2  2.856  13.7
4 2 0  2.487  26.4
2 2 2  2.450  39.9
4 2 -2  2.440  40.8
0 4 0  2.348  30.2
2 0 -4  2.104  22.0
4 4 0  1.833  13.1
2 4 -4  1.567  16.9

a b c (Å): 12.435 9.394 8.417
angles (deg): 90.00 109.45 90.00
Space group Cm (No. 8)
Inequivalent atoms, fractional coordinates:
Sr1 0.000 0.000 0.000 x2
Sr2 0.004 0.500 0.489 x2
Sr3 0.011 0.500 0.002 x2
Sr4 0.267 0.263 0.628 x4
Sr5 0.281 0.261 0.133 x4
Sr6 0.495 0.500 0.483 x2
Ag1 0.214 0.000 0.352 x2
Ag2 0.218 0.000 0.850 x2
Pd1 0.064 0.249 0.276 x4
Pd2 0.215 0.500 0.351 x2
Pd3 0.223 0.500 0.855 x2


SrAg4Pd: calculated powder XRD pattern (a wavelength of 1.5418 Å), based on a crystal structure in Alexandria, relaxed with GGA-PBE.

Principal peaks in the range 2θ = 15–90°, sorted by position:
(hkl)  d/Å  I_rel
0 2 1  5.467  14.8
1 1 2  2.755  100.0
1 5 0  2.635  35.6
0 6 1  2.579  12.7
1 5 1  2.477  58.7
0 6 2  2.198  39.9
2 0 0  2.177  38.7
1 1 3  2.103  25.3
1 7 0  2.077  13.0
0 0 4  1.821  13.1
2 6 2  1.547  25.0
1 5 5  1.275  15.8

a b c (Å): 4.354 16.544 7.284
angles (deg): 90.00 90.00 90.00
Space group Cmcm (No. 63)
Inequivalent atoms, fractional coordinates:
Sr1 0.000 0.128 0.250 x4
Ag1 0.000 0.069 0.750 x4
Ag2 0.000 0.329 0.062 x8
Ag3 0.000 0.500 0.000 x4
Pd1 0.000 0.238 0.750 x4


Sr2Zn2AgPd5: calculated powder XRD pattern (a wavelength of 1.5418 Å), based on a crystal structure in Alexandria, relaxed with GGA-PBE.

Principal peaks in the range 2θ = 15–90°, sorted by position:
(hkl)  d/Å  I_rel
2 1 1  2.903  8.8
2 2 1  2.595  20.7
3 1 1  2.436  100.0
3 3 0  2.364  7.7
3 2 1  2.245  41.0
4 0 1  2.094  7.7
0 0 2  1.903  16.8
4 1 2  1.499  13.1
5 4 1  1.449  6.9
7 1 1  1.329  7.9
8 2 0  1.217  5.8
3 1 3  1.178  6.6

a b c (Å): 10.030 10.030 3.807
angles (deg): 90.00 90.00 90.00
Space group P4/mbm (No. 127)
Inequivalent atoms, fractional coordinates:
Sr1 0.179 0.321 0.000 x4
Zn1 0.120 0.620 0.000 x4
Ag1 0.000 0.000 0.000 x2
Pd1 0.000 0.500 0.500 x2
Pd2 0.063 0.791 0.500 x8


SrZn2Ag2Pd: calculated powder XRD pattern (a wavelength of 1.5418 Å), based on a crystal structure in Alexandria, relaxed with GGA-PBE.

Principal peaks in the range 2θ = 15–90°, sorted by position:
(hkl)  d/Å  I_rel
0 0 1  5.789  28.2
1 1 0  3.432  52.7
1 1 1  2.952  15.9
1 0 2  2.486  100.0
2 0 0  2.427  84.0
2 1 2  1.737  65.3
2 2 0  1.716  28.2
3 0 2  1.412  16.1
2 0 4  1.243  18.4
3 2 2  1.221  19.8
2 2 4  1.106  13.1
4 1 2  1.091  14.6

a b c (Å): 4.854 4.854 5.789
angles (deg): 90.00 90.00 90.00
Space group P4/mmm (No. 123)
Inequivalent atoms, fractional coordinates:
Sr1 0.000 0.000 0.000 x1
Zn1 0.000 0.500 0.500 x2
Ag1 0.500 0.500 0.244 x2
Pd1 0.000 0.000 0.500 x1


TbAg3Pd2: calculated powder XRD pattern (a wavelength of 1.5418 Å), based on a crystal structure in Alexandria, relaxed with GGA-PBE.

Principal peaks in the range 2θ = 15–90°, sorted by position:
(hkl)  d/Å  I_rel
2 2 -1  2.438  100.0
0 2 3  2.408  93.3
0 4 0  2.140  33.9
2 0 2  2.084  30.2
2 0 -4  2.073  31.4
2 4 2  1.493  20.1
2 4 -4  1.489  20.6
2 6 -1  1.286  12.5
0 6 3  1.281  11.9
4 2 1  1.265  11.5
4 2 -5  1.260  11.3
4 4 -2  1.219  10.5

a b c (Å): 5.933 8.560 9.213
angles (deg): 90.00 108.49 90.00
Space group C2/c (No. 15)
Inequivalent atoms, fractional coordinates:
Tb1 0.000 0.124 0.250 x4
Ag1 0.000 0.375 0.750 x4
Ag2 0.159 0.375 0.069 x8
Pd1 0.172 0.125 0.593 x8


Tb4AgPd7: calculated powder XRD pattern (a wavelength of 1.5418 Å), based on a crystal structure in Alexandria, relaxed with GGA-PBE.

Principal peaks in the range 2θ = 15–90°, sorted by position:
(hkl)  d/Å  I_rel
2 0 1  3.511  28.8
3 1 -1  2.918  43.7
0 2 0  2.620  100.0
2 0 -4  2.604  48.9
4 0 -1  2.582  19.0
4 0 -3  2.542  40.3
3 1 1  2.315  44.7
1 1 3  2.286  62.0
1 1 -4  2.262  42.8
2 2 -4  1.847  35.1
4 2 -3  1.824  29.8
5 1 0  1.757  27.9

a b c (Å): 10.684 5.239 10.414
angles (deg): 90.00 119.21 90.00
Space group C2/m (No. 12)
Inequivalent atoms, fractional coordinates:
Tb1 0.098 0.000 0.292 x4
Tb2 0.208 0.500 0.132 x4
Ag1 0.000 0.500 0.500 x2
Pd1 0.000 0.000 0.500 x2
Pd2 0.077 0.500 0.811 x4
Pd3 0.131 0.000 0.018 x4
Pd4 0.208 0.500 0.403 x4


TbAgPd14: calculated powder XRD pattern (a wavelength of 1.5418 Å), based on a crystal structure in Alexandria, relaxed with GGA-PBE.

Principal peaks in the range 2θ = 15–90°, sorted by position:
(hkl)  d/Å  I_rel
2 0 2  2.315  100.0
0 0 4  2.015  16.3
2 2 0  2.000  32.2
2 2 4  1.420  20.5
4 0 0  1.414  10.2
2 0 6  1.213  11.9
4 2 2  1.207  24.0
4 0 4  1.158  10.5

a b c (Å): 5.657 5.657 8.060
angles (deg): 90.00 90.00 90.00
Space group P4/mmm (No. 123)
Inequivalent atoms, fractional coordinates:
Tb1 0.000 0.000 0.000 x1
Ag1 0.500 0.500 0.000 x1
Pd1 0.000 0.000 0.500 x1
Pd2 0.000 0.500 0.000 x2
Pd3 0.000 0.500 0.500 x2
Pd4 0.251 0.251 0.256 x8
Pd5 0.500 0.500 0.500 x1


TbYAgPd: calculated powder XRD pattern (a wavelength of 1.5418 Å), based on a crystal structure in Alexandria, relaxed with GGA-PBE.

Principal peaks in the range 2θ = 15–90°, sorted by position:
(hkl)  d/Å  I_rel
1 0 1  3.204  3.9
1 0 2  2.541  100.0
1 1 0  2.527  49.6
0 0 4  1.807  8.6
2 0 0  1.787  17.3
1 1 4  1.470  17.3
2 1 2  1.462  34.8
2 0 4  1.271  10.5
2 2 0  1.264  5.3
1 0 6  1.142  7.3
3 0 2  1.131  7.6
3 1 0  1.130  7.7

a b c (Å): 3.574 3.574 7.229
angles (deg): 90.00 90.00 90.00
Space group P4mm (No. 99)
Inequivalent atoms, fractional coordinates:
Tb1 0.000 0.000 0.000 x1
Y1 0.000 0.000 0.479 x1
Ag1 0.500 0.500 0.739 x1
Pd1 0.500 0.500 0.238 x1


AgTe4Pd2: calculated powder XRD pattern (a wavelength of 1.5418 Å), based on a crystal structure in Alexandria, relaxed with GGA-PBE.

Principal peaks in the range 2θ = 15–90°, sorted by position:
(hkl)  d/Å  I_rel
1 1 0  3.346  32.8
1 0 -2  3.149  55.7
1 0 2  3.119  32.1
1 1 -1  3.066  31.0
1 1 1  3.051  100.0
0 1 2  2.793  24.5
2 0 -1  2.650  22.0
2 1 -1  2.235  48.9
2 1 1  2.224  72.2
0 1 3  2.151  85.9
0 2 0  2.079  48.7
3 0 2  1.674  20.2

a b c (Å): 5.639 4.157 7.540
angles (deg): 90.00 90.61 90.00
Space group P2/m (No. 10)
Inequivalent atoms, fractional coordinates:
Ag1 0.000 0.000 0.000 x1
Te1 0.215 0.000 0.379 x2
Te2 0.301 0.500 0.826 x2
Pd1 0.500 0.000 0.000 x1
Pd2 0.500 0.500 0.500 x1


AgTe4Pd2: calculated powder XRD pattern (a wavelength of 1.5418 Å), based on a crystal structure in Alexandria, relaxed with GGA-PBE.

Principal peaks in the range 2θ = 15–90°, sorted by position:
(hkl)  d/Å  I_rel
0 2 2  4.084  28.5
1 1 3  3.495  19.7
3 1 1  3.477  43.3
2 2 2  3.335  44.3
0 0 4  2.901  37.7
4 0 0  2.881  75.6
1 1 5  2.232  26.2
1 5 1  2.221  25.1
5 1 1  2.216  24.3
4 0 4  2.044  100.0
4 4 0  2.037  50.3
4 4 4  1.667  23.7

a b c (Å): 11.509 11.541 11.605
angles (deg): 90.00 90.00 90.00
Space group Fddd (No. 70, origin choice 2)
Inequivalent atoms, fractional coordinates:
Ag1 0.125 0.125 0.125 x8
Te1 0.013 0.014 0.735 x32
Pd1 0.000 0.000 0.500 x16


ThZn5AgPd2: calculated powder XRD pattern (a wavelength of 1.5418 Å), based on a crystal structure in Alexandria, relaxed with GGA-PBE.

Principal peaks in the range 2θ = 15–90°, sorted by position:
(hkl)  d/Å  I_rel
1 0 1  4.043  16.1
1 1 0  3.411  34.8
1 0 2  2.938  65.4
1 1 2  2.509  73.7
0 0 3  2.470  23.0
2 0 0  2.412  100.0
2 1 2  1.864  35.3
2 0 3  1.726  31.0
2 2 0  1.706  34.1
2 0 4  1.469  12.2
3 1 2  1.411  23.4
2 2 3  1.403  15.4

a b c (Å): 4.824 4.824 7.409
angles (deg): 90.00 90.00 90.00
Space group P4/mmm (No. 123)
Inequivalent atoms, fractional coordinates:
Th1 0.000 0.000 0.000 x1
Zn1 0.000 0.500 0.292 x4
Zn2 0.500 0.500 0.000 x1
Ag1 0.000 0.000 0.500 x1
Pd1 0.500 0.500 0.322 x2